This entry pairs a crystal structure of EuTmMgIn with its calculated powder diffractogram. Radiation: Cu Kα. Structure: DFT lattice parameters and positions (PBE).

The 8 most intense peaks (2θ = 10–90°), in order of falling intensity:
index, two_theta, d [Å], I/Imax
2 2 0, 33.08, 2.708, 100
4 2 2, 59.09, 1.563, 37
4 0 0, 47.48, 1.915, 18
2 0 0, 23.23, 3.830, 18
6 2 0, 79.08, 1.211, 16
4 4 0, 69.42, 1.354, 12
1 1 1, 20.08, 4.422, 9
4 2 0, 53.51, 1.713, 8

Structure:
```
data_EuTmMgIn
_cell_length_a 7.659
_cell_length_b 7.659
_cell_length_c 7.659
_cell_angle_alpha 90.00
_cell_angle_beta 90.00
_cell_angle_gamma 90.00
_space_group_name_H-M_alt 'F -4 3 m'
_space_group_IT_number 216
_space_group_name_Hall 'F -4 2 3'
loop_
_atom_site_label
_atom_site_fract_x
_atom_site_fract_y
_atom_site_fract_z
Eu1 0.000 0.000 0.000
Tm1 0.000 0.000 0.500
Mg1 0.250 0.250 0.750
In1 0.250 0.250 0.250
```